For HfSn4Mo, a structure optimized by DFT (PBE) gives the calculated powder X-ray diffraction pattern in this record (copper Kα).
Kinematic intensities with the Lorentz-polarization factor, no thermal factor.

Most intense lines, 2θ = 10–90°, by angle:
(2 1 1), 2θ 29.87, 2.992 Å, I 94
(1 1 4), 2θ 36.30, 2.475 Å, I 86
(2 2 0), 2θ 36.68, 2.450 Å, I 26
(2 1 3), 2θ 37.35, 2.408 Å, I 93
(2 0 4), 2θ 40.85, 2.209 Å, I 67
(3 1 0), 2θ 41.20, 2.191 Å, I 100
(4 0 4), 2θ 62.65, 1.483 Å, I 38
(2 1 7), 2θ 64.31, 1.449 Å, I 26
(3 3 4), 2θ 65.80, 1.419 Å, I 44
(3 1 8), 2θ 79.96, 1.200 Å, I 24

Cell and atoms:
a = 6.9295 Å, b = 6.9295 Å, c = 11.4707 Å
α = 90.00°, β = 90.00°, γ = 90.00°
Space group I4/mcm (No. 140)
One atom of each set of equivalent atoms:
Hf1 0.0000 0.0000 0.0000 x4
Sn1 0.1539 0.3461 0.1382 x16
Mo1 0.0000 0.0000 0.2500 x4

***

For Ti3AlAg3S8, a structure optimized by DFT (PBE) gives the calculated powder X-ray diffraction pattern in this record (copper Kα).
Kinematic intensities with the Lorentz-polarization factor, no thermal factor.

Most intense lines, 2θ = 10–90°, by angle:
(1 1 0), 2θ 15.28, 5.800 Å, I 18
(2 0 0), 2θ 17.10, 5.186 Å, I 26
(0 0 2), 2θ 26.65, 3.345 Å, I 15
(4 0 -2), 2θ 30.83, 2.900 Å, I 21
(2 2 -2), 2θ 34.53, 2.597 Å, I 100
(4 0 0), 2θ 34.71, 2.585 Å, I 51
(4 0 -4), 2θ 46.87, 1.939 Å, I 18
(2 2 2), 2θ 47.13, 1.928 Å, I 36
(0 4 0), 2θ 52.31, 1.749 Å, I 44
(4 4 0), 2θ 64.31, 1.448 Å, I 14

Cell and atoms:
a = 12.1167 Å, b = 6.9956 Å, c = 7.8382 Å
α = 90.00°, β = 121.44°, γ = 90.00°
Space group C2/m (No. 12)
One atom of each set of equivalent atoms:
Ti1 0.0000 0.0000 0.0000 x2
Ti2 0.2500 0.2500 0.0000 x4
Al1 0.0000 0.5000 0.0000 x2
Ag1 0.0000 0.5000 0.5000 x2
Ag2 0.2500 0.2500 0.5000 x4
S1 0.0109 0.2548 0.7901 x8
S2 0.2342 0.5000 0.2098 x4
S3 0.2381 0.0000 0.2114 x4

***

For Cs3BaMn, a structure optimized by DFT (PBE) gives the calculated powder X-ray diffraction pattern in this record (copper Kα).
Kinematic intensities with the Lorentz-polarization factor, no thermal factor.

Most intense lines, 2θ = 10–90°, by angle:
(1 1 1), 2θ 23.63, 3.765 Å, I 100
(2 0 0), 2θ 27.35, 3.260 Å, I 81
(2 2 0), 2θ 39.07, 2.305 Å, I 61
(3 1 1), 2θ 46.17, 1.966 Å, I 49
(2 2 2), 2θ 48.35, 1.882 Å, I 22
(3 3 1), 2θ 62.04, 1.496 Å, I 21
(4 2 0), 2θ 63.84, 1.458 Å, I 28
(4 2 2), 2θ 70.79, 1.331 Å, I 21
(5 1 1), 2θ 75.81, 1.255 Å, I 16
(5 3 1), 2θ 88.76, 1.102 Å, I 16

Cell and atoms:
a = 6.5206 Å, b = 6.5206 Å, c = 6.5206 Å
α = 90.00°, β = 90.00°, γ = 90.00°
Space group Pm-3m (No. 221)
One atom of each set of equivalent atoms:
Cs1 0.0000 0.0000 0.5000 x3
Ba1 0.5000 0.5000 0.5000 x1
Mn1 0.0000 0.0000 0.0000 x1

***

For CsNa2Ca2F7, a structure optimized by DFT (PBE) gives the calculated powder X-ray diffraction pattern in this record (copper Kα).
Kinematic intensities with the Lorentz-polarization factor, no thermal factor.

Most intense lines, 2θ = 10–90°, by angle:
(1 0 3), 2θ 23.82, 3.736 Å, I 100
(1 1 0), 2θ 27.58, 3.234 Å, I 25
(1 1 2), 2θ 29.10, 3.069 Å, I 55
(1 0 5), 2θ 30.19, 2.961 Å, I 48
(1 1 4), 2θ 33.29, 2.692 Å, I 25
(0 0 8), 2θ 37.03, 2.428 Å, I 37
(2 0 0), 2θ 39.40, 2.287 Å, I 89
(2 1 3), 2θ 46.56, 1.950 Å, I 31
(2 1 5), 2θ 50.42, 1.810 Å, I 23
(2 0 8), 2θ 55.17, 1.665 Å, I 55

Cell and atoms:
a = 4.5740 Å, b = 4.5740 Å, c = 19.4201 Å
α = 90.00°, β = 90.00°, γ = 90.00°
Space group I4/mmm (No. 139)
One atom of each set of equivalent atoms:
Cs1 0.0000 0.0000 0.0000 x2
Na1 0.0000 0.5000 0.2500 x4
Ca1 0.0000 0.0000 0.3837 x4
F1 0.0000 0.0000 0.2673 x4
F2 0.0000 0.0000 0.5000 x2
F3 0.0000 0.5000 0.1215 x8

***

For CeNd2MgAs4, a structure optimized by DFT (PBE) gives the calculated powder X-ray diffraction pattern in this record (copper Kα).
Kinematic intensities with the Lorentz-polarization factor, no thermal factor.

Most intense lines, 2θ = 10–90°, by angle:
(1 1 0), 2θ 24.79, 3.592 Å, I 7
(1 1 1), 2θ 30.13, 2.966 Å, I 100
(0 2 0), 2θ 42.76, 2.115 Å, I 13
(1 1 -3), 2θ 42.94, 2.106 Å, I 25
(3 1 -1), 2θ 43.35, 2.087 Å, I 25
(2 0 2), 2θ 43.47, 2.082 Å, I 12
(2 2 -2), 2θ 53.21, 1.721 Å, I 13
(2 2 2), 2θ 62.61, 1.484 Å, I 8
(3 1 -5), 2θ 70.80, 1.331 Å, I 11
(5 1 -3), 2θ 71.39, 1.321 Å, I 11

Cell and atoms:
a = 7.1993 Å, b = 4.2298 Å, c = 7.2857 Å
α = 90.00°, β = 109.81°, γ = 90.00°
Space group P2/m (No. 10)
One atom of each set of equivalent atoms:
Ce1 0.0000 0.0000 0.0000 x1
Nd1 0.0000 0.5000 0.5000 x1
Nd2 0.5000 0.0000 0.5000 x1
Mg1 0.5000 0.5000 0.0000 x1
As1 0.2460 0.5000 0.2413 x2
As2 0.2554 0.0000 0.7650 x2

***

For AlCrPd14, a structure optimized by DFT (PBE) gives the calculated powder X-ray diffraction pattern in this record (copper Kα).
Kinematic intensities with the Lorentz-polarization factor, no thermal factor.

Most intense lines, 2θ = 10–90°, by angle:
(1 1 1), 2θ 25.32, 3.518 Å, I 2
(2 0 1), 2θ 34.16, 2.625 Å, I 2
(2 0 2), 2θ 39.76, 2.267 Å, I 100
(2 2 0), 2θ 46.04, 1.971 Å, I 33
(0 0 4), 2θ 46.62, 1.948 Å, I 15
(4 0 0), 2θ 67.15, 1.394 Å, I 10
(2 2 4), 2θ 67.61, 1.386 Å, I 20
(4 2 2), 2θ 80.96, 1.188 Å, I 24
(2 0 6), 2θ 81.81, 1.177 Å, I 11
(4 0 4), 2θ 85.69, 1.134 Å, I 10

Cell and atoms:
a = 5.5760 Å, b = 5.5760 Å, c = 7.7927 Å
α = 90.00°, β = 90.00°, γ = 90.00°
Space group P4/mmm (No. 123)
One atom of each set of equivalent atoms:
Al1 0.0000 0.0000 0.0000 x1
Cr1 0.5000 0.5000 0.0000 x1
Pd1 0.0000 0.0000 0.5000 x1
Pd2 0.0000 0.5000 0.0000 x2
Pd3 0.0000 0.5000 0.5000 x2
Pd4 0.2496 0.2496 0.2424 x8
Pd5 0.5000 0.5000 0.5000 x1

***

For Ga4Pt, a structure optimized by DFT (PBE) gives the calculated powder X-ray diffraction pattern in this record (copper Kα).
Kinematic intensities with the Lorentz-polarization factor, no thermal factor.

Most intense lines, 2θ = 10–90°, by angle:
(1 0 1), 2θ 21.80, 4.077 Å, I 56
(1 1 0), 2θ 23.96, 3.713 Å, I 40
(1 0 2), 2θ 32.51, 2.754 Å, I 16
(1 1 2), 2θ 36.88, 2.438 Å, I 77
(2 1 0), 2θ 38.33, 2.349 Å, I 19
(2 1 1), 2θ 40.88, 2.208 Å, I 100
(2 0 2), 2θ 44.44, 2.039 Å, I 28
(1 0 3), 2θ 45.47, 1.995 Å, I 41
(2 2 2), 2θ 57.24, 1.610 Å, I 19
(4 1 3), 2θ 89.33, 1.097 Å, I 13

Cell and atoms:
a = 5.2514 Å, b = 5.2514 Å, c = 6.4687 Å
α = 90.00°, β = 90.00°, γ = 90.00°
Space group P-42_1c (No. 114)
One atom of each set of equivalent atoms:
Ga1 0.1084 0.2603 0.3449 x8
Pt1 0.0000 0.0000 0.0000 x2

***

For Re3Pb2S6, a structure optimized by DFT (PBE) gives the calculated powder X-ray diffraction pattern in this record (copper Kα).
Kinematic intensities with the Lorentz-polarization factor, no thermal factor.

Most intense lines, 2θ = 10–90°, by angle:
(1 1 -1), 2θ 12.84, 6.895 Å, I 100
(1 1 1), 2θ 13.13, 6.743 Å, I 70
(2 0 2), 2θ 18.31, 4.845 Å, I 27
(3 1 -1), 2θ 19.47, 4.559 Å, I 39
(3 1 1), 2θ 20.05, 4.429 Å, I 33
(1 1 3), 2θ 24.60, 3.619 Å, I 27
(2 0 -4), 2θ 30.55, 2.927 Å, I 31
(4 2 -5), 2θ 46.17, 1.966 Å, I 36
(8 2 1), 2θ 48.15, 1.890 Å, I 26
(5 3 -4), 2θ 48.77, 1.867 Å, I 25

Cell and atoms:
a = 16.9164 Å, b = 9.3927 Å, c = 12.2544 Å
α = 90.00°, β = 92.83°, γ = 90.00°
Space group C2/c (No. 15)
One atom of each set of equivalent atoms:
Re1 0.1610 0.1472 0.4583 x8
Re2 0.2005 0.3210 0.6230 x8
Re3 0.2096 0.4041 0.4157 x8
Pb1 0.0000 0.1923 0.7500 x4
Pb2 0.0000 0.3974 0.2500 x4
Pb3 0.0743 0.2072 0.0521 x8
S1 0.0425 0.0290 0.3850 x8
S2 0.0847 0.3616 0.5046 x8
S3 0.1367 0.4118 0.7933 x8
S4 0.1584 0.0749 0.6494 x8
S5 0.1786 0.2317 0.2748 x8
S6 0.2493 0.0517 0.9294 x8

***

For Sr4InCu, a structure optimized by DFT (PBE) gives the calculated powder X-ray diffraction pattern in this record (copper Kα).
Kinematic intensities with the Lorentz-polarization factor, no thermal factor.

Most intense lines, 2θ = 10–90°, by angle:
(1 1 4), 2θ 27.55, 3.238 Å, I 98
(2 0 5), 2θ 27.84, 3.205 Å, I 48
(3 0 1), 2θ 28.57, 3.124 Å, I 32
(0 1 5), 2θ 28.72, 3.109 Å, I 54
(2 1 3), 2θ 30.21, 2.959 Å, I 100
(1 0 7), 2θ 30.33, 2.947 Å, I 17
(2 0 6), 2θ 31.11, 2.875 Å, I 20
(3 0 4), 2θ 32.82, 2.729 Å, I 30
(2 1 5), 2θ 34.52, 2.598 Å, I 24
(0 2 0), 2θ 40.51, 2.227 Å, I 36

Cell and atoms:
a = 9.4716 Å, b = 4.4533 Å, c = 21.7059 Å
α = 90.00°, β = 90.00°, γ = 90.00°
Space group Pnma (No. 62)
One atom of each set of equivalent atoms:
Sr1 0.0099 0.2500 0.0710 x4
Sr2 0.0209 0.2500 0.7758 x4
Sr3 0.1436 0.2500 0.5549 x4
Sr4 0.1458 0.2500 0.3554 x4
In1 0.2283 0.7500 0.6874 x4
Cu1 0.2398 0.2500 0.9519 x4

***

For KHg5F11, a structure optimized by DFT (PBE) gives the calculated powder X-ray diffraction pattern in this record (copper Kα).
Kinematic intensities with the Lorentz-polarization factor, no thermal factor.

Most intense lines, 2θ = 10–90°, by angle:
(1 1 -1), 2θ 16.84, 5.263 Å, I 100
(0 2 1), 2θ 22.52, 3.949 Å, I 35
(2 2 -1), 2θ 25.36, 3.512 Å, I 36
(2 2 0), 2θ 25.47, 3.497 Å, I 45
(1 3 0), 2θ 25.93, 3.436 Å, I 36
(1 3 -1), 2θ 28.27, 3.157 Å, I 34
(2 0 -2), 2θ 29.94, 2.985 Å, I 38
(2 0 1), 2θ 30.22, 2.958 Å, I 32
(4 0 -1), 2θ 36.51, 2.461 Å, I 39
(1 5 -1), 2θ 43.26, 2.092 Å, I 43

Cell and atoms:
a = 9.8436 Å, b = 11.1579 Å, c = 6.1292 Å
α = 90.00°, β = 114.21°, γ = 90.00°
Space group C2/m (No. 12)
One atom of each set of equivalent atoms:
K1 0.0000 0.0000 0.0000 x2
Hg1 0.0000 0.5000 0.0000 x2
Hg2 0.1800 0.1835 0.6939 x8
F1 0.0000 0.0000 0.5000 x2
F2 0.0844 0.2246 0.3197 x8
F3 0.1640 0.5000 0.3414 x4
F4 0.2224 0.3733 0.9424 x8

***

For Ho2ThCo, a structure optimized by DFT (PBE) gives the calculated powder X-ray diffraction pattern in this record (copper Kα).
Kinematic intensities with the Lorentz-polarization factor, no thermal factor.

Most intense lines, 2θ = 10–90°, by angle:
(1 0 1), 2θ 28.15, 3.170 Å, I 51
(0 0 3), 2θ 30.95, 2.889 Å, I 26
(1 0 2), 2θ 33.46, 2.678 Å, I 100
(1 1 0), 2θ 37.34, 2.408 Å, I 54
(1 1 3), 2θ 49.26, 1.850 Å, I 29
(1 0 4), 2θ 49.88, 1.828 Å, I 12
(2 0 0), 2θ 53.84, 1.703 Å, I 19
(1 0 5), 2θ 59.87, 1.545 Å, I 15
(2 0 3), 2θ 63.40, 1.467 Å, I 14
(2 1 2), 2θ 64.89, 1.437 Å, I 30

Cell and atoms:
a = 3.4057 Å, b = 3.4057 Å, c = 8.6674 Å
α = 90.00°, β = 90.00°, γ = 90.00°
Space group P4/mmm (No. 123)
One atom of each set of equivalent atoms:
Ho1 0.0000 0.0000 0.1847 x2
Th1 0.5000 0.5000 0.5000 x1
Co1 0.5000 0.5000 0.0000 x1

***

For Tm5GaPb4, a structure optimized by DFT (PBE) gives the calculated powder X-ray diffraction pattern in this record (copper Kα).
Kinematic intensities with the Lorentz-polarization factor, no thermal factor.

Most intense lines, 2θ = 10–90°, by angle:
(0 0 2), 2θ 28.64, 3.116 Å, I 32
(3 1 0), 2θ 29.35, 3.043 Å, I 100
(1 1 2), 2θ 31.58, 2.833 Å, I 14
(2 0 2), 2θ 34.28, 2.616 Å, I 14
(2 2 2), 2θ 39.20, 2.298 Å, I 14
(3 1 2), 2θ 41.47, 2.177 Å, I 60
(2 4 0), 2θ 41.99, 2.152 Å, I 36
(2 4 2), 2θ 51.62, 1.771 Å, I 26
(3 1 4), 2θ 67.54, 1.387 Å, I 16
(1 7 0), 2θ 69.01, 1.361 Å, I 15

Cell and atoms:
a = 9.6228 Å, b = 9.6228 Å, c = 6.2330 Å
α = 90.00°, β = 90.00°, γ = 90.00°
Space group I4 (No. 79)
One atom of each set of equivalent atoms:
Tm1 0.0000 0.0000 0.0000 x2
Tm2 0.0899 0.6983 0.3145 x8
Ga1 0.0000 0.0000 0.4811 x2
Pb1 0.0983 0.7178 0.8093 x8